# 1
Calculated powder XRD pattern of TlCd2Hg2Bi2 for Cu Kα, from DFT lattice parameters and positions (GGA-PBE).

Most intense lines, 10 to 90 degrees two-theta, in order of rising 2θ:
| 2θ (°) | I/Imax |
| --- | --- |
| 19.48 | 16 |
| 31.33 | 43 |
| 33.50 | 100 |
| 34.26 | 67 |
| 46.52 | 15 |
| 48.67 | 25 |
| 58.54 | 15 |
| 59.90 | 19 |
| 60.38 | 27 |
| 65.25 | 22 |

Crystal structure
```
data_TlCd2Hg2Bi2
_cell_length_a 9.0062
_cell_length_b 9.0062
_cell_length_c 9.0062
_cell_angle_alpha 34.55
_cell_angle_beta 34.55
_cell_angle_gamma 34.55
_space_group_name_H-M_alt 'P 1'
_space_group_IT_number 1
loop_
_space_group_symop_operation_xyz
'x,y,z'
loop_
_atom_site_label
_atom_site_type_symbol
_atom_site_fract_x
_atom_site_fract_y
_atom_site_fract_z
Tl1 Tl 0.0000 0.0000 0.0000
Cd1 Cd 0.3946 0.3946 0.3946
Cd2 Cd 0.6054 0.6054 0.6054
Hg1 Hg 0.1359 0.1359 0.1359
Hg2 Hg 0.8641 0.8641 0.8641
Bi1 Bi 0.2583 0.2583 0.2583
Bi2 Bi 0.7417 0.7417 0.7417
```


# 2
Calculated powder XRD pattern of Be3P2 for Cu Kα, from DFT lattice parameters and positions (GGA-PBE).

Most intense lines, 10 to 90 degrees two-theta, in order of rising 2θ:
| 2θ (°) | I/Imax |
| --- | --- |
| 21.35 | 4 |
| 30.37 | 100 |
| 35.21 | 24 |
| 41.55 | 1 |
| 50.65 | 52 |
| 60.21 | 36 |
| 63.19 | 5 |
| 74.45 | 8 |
| 82.49 | 15 |
| 85.12 | 7 |

Crystal structure
```
data_Be3P2
_cell_length_a 8.8285
_cell_length_b 8.8285
_cell_length_c 8.8285
_cell_angle_alpha 109.47
_cell_angle_beta 109.47
_cell_angle_gamma 109.47
_space_group_name_H-M_alt 'P 1'
_space_group_IT_number 1
loop_
_space_group_symop_operation_xyz
'x,y,z'
loop_
_atom_site_label
_atom_site_type_symbol
_atom_site_fract_x
_atom_site_fract_y
_atom_site_fract_z
Be1 Be 0.0042 0.4953 0.7512
Be2 Be 0.0047 0.0089 0.2559
Be3 Be 0.0089 0.2559 0.0047
Be4 Be 0.2441 0.2530 0.7488
Be5 Be 0.2470 0.4911 0.4958
Be6 Be 0.2488 0.9958 0.5047
Be7 Be 0.2512 0.7559 0.7470
Be8 Be 0.2530 0.7488 0.2441
Be9 Be 0.2559 0.0047 0.0089
Be10 Be 0.4911 0.4958 0.2470
Be11 Be 0.4953 0.7512 0.0042
Be12 Be 0.4958 0.2470 0.4911
Be13 Be 0.5042 0.7530 0.5089
Be14 Be 0.5047 0.2488 0.9958
Be15 Be 0.5089 0.5042 0.7530
Be16 Be 0.7441 0.9953 0.9911
Be17 Be 0.7470 0.2512 0.7559
Be18 Be 0.7488 0.2441 0.2530
Be19 Be 0.7512 0.0042 0.4953
Be20 Be 0.7530 0.5089 0.5042
Be21 Be 0.7559 0.7470 0.2512
Be22 Be 0.9911 0.7441 0.9953
Be23 Be 0.9953 0.9911 0.7441
Be24 Be 0.9958 0.5047 0.2488
P1 P 0.0000 0.0000 0.5000
P2 P 0.0000 0.5000 0.0000
P3 P 0.0056 0.7500 0.7556
P4 P 0.2444 0.9944 0.2500
P5 P 0.2500 0.2444 0.9944
P6 P 0.2500 0.7444 0.4944
P7 P 0.2556 0.5056 0.7500
P8 P 0.4944 0.2500 0.7444
P9 P 0.5000 0.0000 0.0000
P10 P 0.5000 0.5000 0.5000
P11 P 0.5056 0.7500 0.2556
P12 P 0.7444 0.4944 0.2500
P13 P 0.7500 0.2556 0.5056
P14 P 0.7500 0.7556 0.0056
P15 P 0.7556 0.0056 0.7500
P16 P 0.9944 0.2500 0.2444
```


# 3
Calculated powder XRD pattern of Tb3Pm2Ho8 for Cu Kα, from DFT lattice parameters and positions (GGA-PBE).

Most intense lines, 10 to 90 degrees two-theta, in order of rising 2θ:
| 2θ (°) | I/Imax |
| --- | --- |
| 28.70 | 25 |
| 30.11 | 69 |
| 31.33 | 56 |
| 31.58 | 54 |
| 31.85 | 100 |
| 33.29 | 34 |
| 34.75 | 73 |
| 36.69 | 31 |
| 52.36 | 23 |
| 62.27 | 29 |

Crystal structure
```
data_Tb3Pm2Ho8
_cell_length_a 11.7023
_cell_length_b 20.6096
_cell_length_c 3.4945
_cell_angle_alpha 90.00
_cell_angle_beta 90.00
_cell_angle_gamma 90.00
_space_group_name_H-M_alt 'P 1'
_space_group_IT_number 1
loop_
_space_group_symop_operation_xyz
'x,y,z'
loop_
_atom_site_label
_atom_site_type_symbol
_atom_site_fract_x
_atom_site_fract_y
_atom_site_fract_z
Tb1 Tb 0.0000 0.0000 0.0000
Tb2 Tb 0.1450 0.2987 0.0000
Tb3 Tb 0.3550 0.7987 0.0000
Tb4 Tb 0.5000 0.5000 0.0000
Tb5 Tb 0.6450 0.2013 0.0000
Tb6 Tb 0.8550 0.7013 0.0000
Pm1 Pm 0.1802 0.9019 0.5000
Pm2 Pm 0.3198 0.4019 0.5000
Pm3 Pm 0.6802 0.5981 0.5000
Pm4 Pm 0.8198 0.0981 0.5000
Ho1 Ho 0.0449 0.4286 0.5000
Ho2 Ho 0.0527 0.1585 0.0000
Ho3 Ho 0.1275 0.7138 0.5000
Ho4 Ho 0.2068 0.5535 0.0000
Ho5 Ho 0.2932 0.0535 0.0000
Ho6 Ho 0.3725 0.2138 0.5000
Ho7 Ho 0.4473 0.6585 0.0000
Ho8 Ho 0.4550 0.9286 0.5000
Ho9 Ho 0.5450 0.0714 0.5000
Ho10 Ho 0.5527 0.3415 0.0000
Ho11 Ho 0.6275 0.7862 0.5000
Ho12 Ho 0.7068 0.9465 0.0000
Ho13 Ho 0.7932 0.4465 0.0000
Ho14 Ho 0.8725 0.2862 0.5000
Ho15 Ho 0.9473 0.8415 0.0000
Ho16 Ho 0.9550 0.5714 0.5000
```


# 4
Calculated powder XRD pattern of Ba2PaCu2O6 for Cu Kα, from DFT lattice parameters and positions (GGA-PBE).

Most intense lines, 10 to 90 degrees two-theta, in order of rising 2θ:
| 2θ (°) | I/Imax |
| --- | --- |
| 17.73 | 22 |
| 26.88 | 66 |
| 29.14 | 100 |
| 29.88 | 48 |
| 30.83 | 23 |
| 31.40 | 72 |
| 40.64 | 24 |
| 43.47 | 27 |
| 51.21 | 20 |
| 52.59 | 19 |

Crystal structure
```
data_Ba2PaCu2O6
_cell_length_a 6.1321
_cell_length_b 6.1321
_cell_length_c 6.6741
_cell_angle_alpha 117.10
_cell_angle_beta 117.10
_cell_angle_gamma 58.37
_space_group_name_H-M_alt 'P 1'
_space_group_IT_number 1
loop_
_space_group_symop_operation_xyz
'x,y,z'
loop_
_atom_site_label
_atom_site_type_symbol
_atom_site_fract_x
_atom_site_fract_y
_atom_site_fract_z
Ba1 Ba 0.2193 0.2193 0.1838
Ba2 Ba 0.7807 0.7807 0.8162
Pa1 Pa 0.0000 0.0000 0.5000
Cu1 Cu 0.4369 0.4369 0.7576
Cu2 Cu 0.5631 0.5631 0.2424
O1 O 0.1901 0.7007 0.2194
O2 O 0.2306 0.2306 0.6146
O3 O 0.2993 0.8099 0.7806
O4 O 0.7007 0.1901 0.2194
O5 O 0.7694 0.7694 0.3854
O6 O 0.8099 0.2993 0.7806
```


# 5
Calculated powder XRD pattern of NaYIn6 for Cu Kα, from DFT lattice parameters and positions (GGA-PBE).

Most intense lines, 10 to 90 degrees two-theta, in order of rising 2θ:
| 2θ (°) | I/Imax |
| --- | --- |
| 19.08 | 4 |
| 26.90 | 4 |
| 33.19 | 100 |
| 38.11 | 17 |
| 38.72 | 33 |
| 55.46 | 22 |
| 55.91 | 11 |
| 65.77 | 13 |
| 66.59 | 25 |
| 69.68 | 11 |

Crystal structure
```
data_NaYIn6
_cell_length_a 4.6513
_cell_length_b 4.6513
_cell_length_c 9.4449
_cell_angle_alpha 90.00
_cell_angle_beta 90.00
_cell_angle_gamma 90.00
_space_group_name_H-M_alt 'P 1'
_space_group_IT_number 1
loop_
_space_group_symop_operation_xyz
'x,y,z'
loop_
_atom_site_label
_atom_site_type_symbol
_atom_site_fract_x
_atom_site_fract_y
_atom_site_fract_z
Na1 Na 0.0000 0.0000 0.0000
Y1 Y 0.0000 0.0000 0.5000
In1 In 0.0000 0.5000 0.2491
In2 In 0.0000 0.5000 0.7509
In3 In 0.5000 0.0000 0.2491
In4 In 0.5000 0.0000 0.7509
In5 In 0.5000 0.5000 0.0000
In6 In 0.5000 0.5000 0.5000
```


# 6
Calculated powder XRD pattern of LiBS2 for Cu Kα, from DFT lattice parameters and positions (GGA-PBE).

Most intense lines, 10 to 90 degrees two-theta, in order of rising 2θ:
| 2θ (°) | I/Imax |
| --- | --- |
| 16.58 | 100 |
| 18.73 | 11 |
| 19.68 | 11 |
| 27.30 | 39 |
| 30.86 | 62 |
| 36.11 | 14 |
| 37.06 | 11 |
| 41.19 | 21 |
| 42.97 | 10 |
| 46.20 | 13 |

Crystal structure
```
data_LiBS2
_cell_length_a 6.0529
_cell_length_b 6.0529
_cell_length_c 5.2475
_cell_angle_alpha 108.54
_cell_angle_beta 108.54
_cell_angle_gamma 103.03
_space_group_name_H-M_alt 'P 1'
_space_group_IT_number 1
loop_
_space_group_symop_operation_xyz
'x,y,z'
loop_
_atom_site_label
_atom_site_type_symbol
_atom_site_fract_x
_atom_site_fract_y
_atom_site_fract_z
Li1 Li 0.1929 0.8071 0.7500
Li2 Li 0.8071 0.1929 0.2500
B1 B 0.4979 0.5021 0.2500
B2 B 0.5021 0.4979 0.7500
S1 S 0.2393 0.4531 0.3891
S2 S 0.4531 0.2393 0.8891
S3 S 0.5469 0.7607 0.1109
S4 S 0.7607 0.5469 0.6109
```